Entry 1:
LiSnP3O9: computed powder diffraction line list (Cu Kα), based on a structure optimized by DFT (PBE).

Cell and atoms:
Unit cell a=9.352 b=7.942 c=12.962 alpha=90.00 beta=90.00 gamma=90.00
Element x y z (fractional)
Li: 0.012 0.250 0.059
Li: 0.488 0.750 0.559
Li: 0.512 0.250 0.441
Li: 0.988 0.750 0.941
Sn: 0.027 0.750 0.217
Sn: 0.473 0.250 0.717
Sn: 0.527 0.750 0.283
Sn: 0.973 0.250 0.783
P: 0.205 0.250 0.528
P: 0.239 0.563 0.848
P: 0.239 0.937 0.848
P: 0.261 0.063 0.348
P: 0.261 0.437 0.348
P: 0.295 0.750 0.028
P: 0.705 0.250 0.972
P: 0.739 0.563 0.652
P: 0.739 0.937 0.652
P: 0.761 0.063 0.152
P: 0.761 0.437 0.152
P: 0.795 0.750 0.472
O: 0.109 0.250 0.619
O: 0.116 0.052 0.878
O: 0.116 0.448 0.878
O: 0.134 0.750 0.046
O: 0.162 0.750 0.833
O: 0.166 0.024 0.259
O: 0.166 0.476 0.259
O: 0.167 0.094 0.452
O: 0.167 0.406 0.452
O: 0.333 0.594 0.952
O: 0.333 0.906 0.952
O: 0.334 0.524 0.759
O: 0.334 0.976 0.759
O: 0.338 0.250 0.333
O: 0.366 0.250 0.546
O: 0.384 0.552 0.378
O: 0.384 0.948 0.378
O: 0.391 0.750 0.119
O: 0.609 0.250 0.881
O: 0.616 0.052 0.622
O: 0.616 0.448 0.622
O: 0.634 0.750 0.454
O: 0.662 0.750 0.667
O: 0.666 0.024 0.241
O: 0.666 0.476 0.241
O: 0.667 0.094 0.048
O: 0.667 0.406 0.048
O: 0.833 0.594 0.548
O: 0.833 0.906 0.548
O: 0.834 0.524 0.741
O: 0.834 0.976 0.741
O: 0.838 0.250 0.167
O: 0.866 0.250 0.954
O: 0.884 0.552 0.122
O: 0.884 0.948 0.122
O: 0.891 0.750 0.381

Top 12 peaks for 10° ≤ 2θ ≤ 90°, by angle:
- 13.07 deg, intensity 89
- 13.66 deg, intensity 36
- 16.16 deg, intensity 100
- 16.64 deg, intensity 40
- 23.12 deg, intensity 98
- 23.45 deg, intensity 34
- 28.05 deg, intensity 37
- 29.51 deg, intensity 33
- 32.65 deg, intensity 45
- 34.58 deg, intensity 28
- 44.55 deg, intensity 30
- 45.55 deg, intensity 27

---

Entry 2:
DyFe2SiC: computed powder diffraction line list (Cu Kα), based on a structure optimized by DFT (PBE).

Cell and atoms:
Unit cell a=5.531 b=5.531 c=6.741 alpha=90.00 beta=90.00 gamma=140.37
Element x y z (fractional)
Dy: 0.050 0.950 0.750
Dy: 0.950 0.050 0.250
Fe: 0.334 0.666 0.562
Fe: 0.334 0.666 0.938
Fe: 0.666 0.334 0.062
Fe: 0.666 0.334 0.438
Si: 0.230 0.770 0.250
Si: 0.770 0.230 0.750
C: 0.500 0.500 0.000
C: 0.500 0.500 0.500

Top 12 peaks for 10° ≤ 2θ ≤ 90°, by angle:
- 25.25 deg, intensity 21
- 31.63 deg, intensity 30
- 35.24 deg, intensity 48
- 36.88 deg, intensity 100
- 37.04 deg, intensity 48
- 37.76 deg, intensity 53
- 43.91 deg, intensity 31
- 48.56 deg, intensity 26
- 54.46 deg, intensity 25
- 62.61 deg, intensity 20
- 66.07 deg, intensity 23
- 67.52 deg, intensity 17

---

Entry 3:
TbAg3: computed powder diffraction line list (Cu Kα), based on a structure optimized by DFT (PBE).

Cell and atoms:
Unit cell a=4.546 b=4.546 c=8.093 alpha=90.00 beta=90.00 gamma=90.00
Element x y z (fractional)
Tb: 0.000 0.000 0.000
Tb: 0.500 0.500 0.500
Ag: 0.000 0.000 0.500
Ag: 0.000 0.500 0.250
Ag: 0.000 0.500 0.750
Ag: 0.500 0.000 0.250
Ag: 0.500 0.000 0.750
Ag: 0.500 0.500 0.000

Top 12 peaks for 10° ≤ 2θ ≤ 90°, by angle:
- 22.43 deg, intensity 3
- 27.75 deg, intensity 1
- 35.67 deg, intensity 100
- 39.65 deg, intensity 37
- 44.80 deg, intensity 13
- 46.03 deg, intensity 1
- 57.33 deg, intensity 12
- 61.34 deg, intensity 20
- 69.38 deg, intensity 27
- 75.55 deg, intensity 11
- 76.61 deg, intensity 10
- 85.43 deg, intensity 4

---

Entry 4:
Mn2CrI6: computed powder diffraction line list (Cu Kα), based on a structure optimized by DFT (PBE).

Cell and atoms:
Unit cell a=4.187 b=4.187 c=21.785 alpha=91.55 beta=91.55 gamma=58.44
Element x y z (fractional)
Mn: 0.166 0.166 0.333
Mn: 0.834 0.834 0.667
Cr: 0.500 0.500 0.000
I: 0.146 0.146 0.075
I: 0.163 0.163 0.591
I: 0.495 0.495 0.256
I: 0.505 0.505 0.744
I: 0.837 0.837 0.409
I: 0.854 0.854 0.925

Top 12 peaks for 10° ≤ 2θ ≤ 90°, by angle:
- 12.19 deg, intensity 41
- 24.53 deg, intensity 35
- 25.97 deg, intensity 29
- 26.17 deg, intensity 60
- 29.02 deg, intensity 56
- 30.16 deg, intensity 100
- 38.69 deg, intensity 12
- 41.42 deg, intensity 39
- 42.01 deg, intensity 17
- 43.25 deg, intensity 37
- 44.32 deg, intensity 18
- 53.85 deg, intensity 19

---

Entry 5:
Ba2LaCl7: computed powder diffraction line list (Cu Kα), based on a structure optimized by DFT (PBE).

Cell and atoms:
Unit cell a=7.077 b=16.011 c=10.799 alpha=90.00 beta=90.90 gamma=90.00
Element x y z (fractional)
Ba: 0.231 0.062 0.324
Ba: 0.231 0.438 0.824
Ba: 0.231 0.721 0.450
Ba: 0.231 0.779 0.950
Ba: 0.769 0.221 0.050
Ba: 0.769 0.279 0.550
Ba: 0.769 0.562 0.176
Ba: 0.769 0.938 0.676
La: 0.281 0.126 0.783
La: 0.281 0.374 0.283
La: 0.719 0.626 0.717
La: 0.719 0.874 0.217
Cl: 0.005 0.240 0.305
Cl: 0.005 0.260 0.805
Cl: 0.006 0.104 0.580
Cl: 0.006 0.396 0.080
Cl: 0.197 0.545 0.287
Cl: 0.197 0.955 0.787
Cl: 0.203 0.142 0.037
Cl: 0.203 0.358 0.537
Cl: 0.359 0.571 0.623
Cl: 0.359 0.929 0.123
Cl: 0.495 0.603 0.934
Cl: 0.495 0.897 0.434
Cl: 0.496 0.724 0.206
Cl: 0.496 0.776 0.706
Cl: 0.504 0.224 0.294
Cl: 0.504 0.276 0.794
Cl: 0.505 0.103 0.566
Cl: 0.505 0.397 0.066
Cl: 0.641 0.071 0.877
Cl: 0.641 0.429 0.377
Cl: 0.797 0.642 0.463
Cl: 0.797 0.858 0.963
Cl: 0.803 0.045 0.213
Cl: 0.803 0.455 0.713
Cl: 0.994 0.604 0.920
Cl: 0.994 0.896 0.420
Cl: 0.995 0.740 0.195
Cl: 0.995 0.760 0.695

Top 12 peaks for 10° ≤ 2θ ≤ 90°, by angle:
- 18.55 deg, intensity 22
- 20.85 deg, intensity 100
- 21.28 deg, intensity 40
- 21.59 deg, intensity 22
- 25.17 deg, intensity 27
- 32.46 deg, intensity 26
- 33.65 deg, intensity 47
- 34.63 deg, intensity 29
- 34.87 deg, intensity 35
- 36.96 deg, intensity 21
- 37.61 deg, intensity 34
- 41.90 deg, intensity 23

---

Entry 6:
Mo5As4: computed powder diffraction line list (Cu Kα), based on a structure optimized by DFT (PBE).

Cell and atoms:
Unit cell a=6.896 b=6.896 c=6.896 alpha=93.04 beta=93.04 gamma=153.39
Element x y z (fractional)
Mo: 0.000 0.000 0.000
Mo: 0.050 0.658 0.708
Mo: 0.342 0.050 0.392
Mo: 0.658 0.950 0.608
Mo: 0.950 0.342 0.292
As: 0.325 0.641 0.967
As: 0.359 0.325 0.684
As: 0.641 0.675 0.316
As: 0.675 0.359 0.033

Top 12 peaks for 10° ≤ 2θ ≤ 90°, by angle:
- 35.31 deg, intensity 16
- 40.26 deg, intensity 100
- 42.60 deg, intensity 16
- 48.91 deg, intensity 12
- 58.12 deg, intensity 8
- 58.34 deg, intensity 5
- 70.07 deg, intensity 14
- 73.10 deg, intensity 9
- 73.25 deg, intensity 7
- 74.68 deg, intensity 6
- 79.48 deg, intensity 6
- 88.63 deg, intensity 8